For Pm3Al3Zn, a crystal structure in Alexandria, relaxed with GGA-PBE gives the simulated powder X-ray diffraction pattern in this record (Cu Kα (λ = 1.5418 Å)).
No peak broadening, texture or thermal motion is included.

Main lines, most intense first (2θ from 5° to 70°):
2θ = 32.15°, I 100
2θ = 32.61°, I 62
2θ = 23.72°, I 60
2θ = 37.14°, I 37
2θ = 52.33°, I 33
2θ = 39.76°, I 25
2θ = 62.45°, I 16
2θ = 48.29°, I 14

Cell: 10.443 10.443 10.443 Å, 159.21 154.92 32.80°
Fractional coordinates of all 7 atoms:
1 Pm 0.000 0.000 0.000
2 Pm 0.385 0.385 0.000
3 Pm 0.693 0.193 0.500
4 Al 0.129 0.629 0.500
5 Al 0.557 0.557 0.000
6 Al 0.828 0.828 0.000
7 Zn 0.259 0.759 0.500


For Tb2PmYTm6, a crystal structure in Alexandria, relaxed with GGA-PBE gives the simulated powder X-ray diffraction pattern in this record (Cu Kα (λ = 1.5418 Å)).
No peak broadening, texture or thermal motion is included.

Main lines, most intense first (2θ from 5° to 70°):
2θ = 31.86°, I 100
2θ = 31.02°, I 64
2θ = 34.12°, I 60
2θ = 31.55°, I 45
2θ = 30.91°, I 41
2θ = 28.85°, I 40
2θ = 32.59°, I 23
2θ = 51.30°, I 13

Cell: 8.719 8.719 9.498 Å, 93.93 93.93 118.16°
Fractional coordinates of all 20 atoms:
1 Tb 0.196 0.302 0.045
2 Tb 0.302 0.196 0.545
3 Tb 0.698 0.804 0.455
4 Tb 0.804 0.698 0.955
5 Pm 0.023 0.977 0.250
6 Pm 0.977 0.023 0.750
7 Y 0.408 0.592 0.750
8 Y 0.592 0.408 0.250
9 Tm 0.022 0.570 0.183
10 Tm 0.125 0.747 0.558
11 Tm 0.253 0.875 0.942
12 Tm 0.291 0.507 0.381
13 Tm 0.430 0.978 0.317
14 Tm 0.493 0.709 0.119
15 Tm 0.507 0.291 0.881
16 Tm 0.570 0.022 0.683
17 Tm 0.709 0.493 0.619
18 Tm 0.747 0.125 0.058
19 Tm 0.875 0.253 0.442
20 Tm 0.978 0.430 0.817